Computed XRD peak list
Compound: Ac3NdTe4
Radiation: Cu Kα (weighted mean of Kα1 and Kα2)
Structure: a cell relaxed with PBE
Intensities are scaled so that the largest is 100.

Atomic structure:
```
data_Ac3NdTe4
_chemical_formula_sum 'Ac6 Nd2 Te8'
_symmetry_space_group_name_H-M 'P 1 2/c 1'
_symmetry_Int_Tables_number 13
_cell_length_a 8.1588
_cell_length_b 9.2293
_cell_length_c 8.1201
_cell_angle_alpha 90.00
_cell_angle_beta 108.94
_cell_angle_gamma 90.00
loop_
_symmetry_equiv_pos_as_xyz
'x,y,z'
'-x,-y,-z'
'-x,y,-z+1/2'
'x,-y,z+1/2'
loop_
_atom_site_label
_atom_site_fract_x
_atom_site_fract_y
_atom_site_fract_z
Ac1 0.0000 0.1246 0.2500
Ac2 0.0000 0.3739 0.7500
Ac3 0.5000 0.3732 0.2500
Nd1 0.5000 0.1239 0.7500
Te1 0.2554 0.3702 0.5054
Te2 0.2593 0.1196 0.9998
```

Most intense lines, 2θ = 5–70°, low angle first:
hkl, 2theta, I_rel
1 2 1, 26.97, 100
2 0 2, 38.05, 13
3 2 -1, 38.42, 26
1 2 -3, 38.56, 26
0 4 0, 39.04, 13
4 0 0, 47.11, 7
0 0 4, 47.34, 7
2 4 -2, 48.06, 14
2 4 2, 55.65, 9
3 2 -5, 62.82, 12